This entry pairs a crystal structure of ZrUN2 with its simulated X-ray diffraction stick pattern. Radiation: Cu Kα (λ = 1.5418 Å). Structure: DFT lattice parameters and positions (GGA-PBE).

Peak list (10 most intense, 10° ≤ 2θ ≤ 90°, sorted by position)
2θ 21.0, I 29.3
2θ 32.8, I 100.0
2θ 34.2, I 9.5
2θ 38.0, I 70.7
2θ 43.8, I 9.8
2θ 52.0, I 9.2
2θ 54.9, I 48.2
2θ 65.4, I 44.5
2θ 68.7, I 16.4
2θ 81.3, I 5.3

Structural model:
a = 5.7953 Å, b = 5.7953 Å, c = 5.7953 Å
α = 131.77°, β = 131.77°, γ = 70.60°
Element x y z (fractional)
Zr 0.3750 0.6250 0.7500
Zr 0.6250 0.3750 0.2500
U 0.1250 0.8750 0.2500
U 0.8750 0.1250 0.7500
N 0.1266 0.3766 0.7500
N 0.3766 0.1266 0.2500
N 0.6234 0.8734 0.7500
N 0.8734 0.6234 0.2500